This entry pairs a crystal structure of Tb8Pr3Y with its theoretical X-ray powder pattern. Radiation: copper Kα. Structure: a cell relaxed with GGA-PBE.
Lines closer than 0.1° are merged.

The 10 most intense peaks (2θ = 5–70°), in order of falling intensity:
2θ/deg  d [Å]  I/Imax  (hkl)
35.92  2.500  100  3 1 2
28.72  3.109  86  2 2 0
23.93  3.718  83  2 1 1
31.34  2.854  82  0 0 4
25.57  3.483  80  2 0 2
44.14  2.052  75  4 0 2
32.77  2.733  68  2 2 2
43.02  2.103  57  2 2 4
68.77  1.365  34  4 4 4
49.00  1.859  28  4 2 2

Crystal structure
```
data_Tb8Pr3Y
_chemical_formula_sum 'Tb16 Pr6 Y2'
_space_group_name_H-M_alt 'I -4 2 m'
_space_group_IT_number 121
_space_group_name_Hall 'I -4 2'
_cell_length_a 8.793
_cell_length_b 8.793
_cell_length_c 11.417
_cell_angle_alpha 90.00
_cell_angle_beta 90.00
_cell_angle_gamma 90.00
loop_
_atom_site_label
_atom_site_fract_x
_atom_site_fract_y
_atom_site_fract_z
Tb1 0.125 0.125 0.249
Tb2 0.248 0.248 0.996
Pr1 0.000 0.000 0.500
Pr2 0.000 0.500 0.250
Y1 0.000 0.000 0.000
```